Starting from a crystal structure in the Materials Project, relaxed with PBE, the powder XRD pattern of Ge5Te4Se was simulated for Cu Kα (λ = 1.5418 Å).
Intensities are scaled so that the largest is 100.

Top 12 peaks for 2θ = 15–90°, in order of rising 2θ:
| (hkl) | 2theta | I/Imax |
| --- | --- | --- |
| 1 0 5 | 25.8 | 13 |
| 0 0 10 | 29.6 | 53 |
| 1 1 0 | 30.1 | 100 |
| 1 1 10 | 42.7 | 76 |
| 2 0 0 | 43.0 | 37 |
| 2 0 10 | 53.1 | 40 |
| 2 2 0 | 62.5 | 12 |
| 1 1 20 | 69.9 | 17 |
| 2 2 10 | 70.6 | 17 |
| 3 1 0 | 70.9 | 16 |
| 2 0 20 | 77.9 | 13 |
| 3 1 10 | 78.6 | 25 |

Structure:
Lattice parameters (Å, degrees): 4.203 4.203 30.210 90.00 90.00 90.00
Space group I4/mmm (No. 139)
Symmetry-distinct sites (fractional):
Ge  0.000  0.000  0.000 x2
Ge  0.000  0.000  0.200 x4
Ge  0.000  0.000  0.401 x4
Te  0.000  0.000  0.100 x4
Te  0.000  0.000  0.300 x4
Se  0.000  0.000  0.500 x2

Starting from a crystal structure in the Materials Project, relaxed with PBE, the powder XRD pattern of DyMnAl was simulated for Cu Kα (λ = 1.5418 Å).
Intensities are scaled so that the largest is 100.

Top 12 peaks for 2θ = 15–90°, in order of rising 2θ:
| (hkl) | 2theta | I/Imax |
| --- | --- | --- |
| 0 1 1 | 19.9 | 18 |
| 1 0 1 | 20.1 | 53 |
| 0 2 0 | 32.5 | 37 |
| 2 0 0 | 32.8 | 17 |
| 1 1 2 | 33.1 | 100 |
| 1 2 1 | 38.5 | 54 |
| 2 1 1 | 38.7 | 70 |
| 0 1 3 | 39.3 | 60 |
| 1 3 2 | 58.4 | 20 |
| 3 1 2 | 58.8 | 19 |
| 2 3 1 | 62.2 | 17 |
| 2 2 4 | 69.4 | 26 |

Structure:
Lattice parameters (Å, degrees): 5.456 5.510 7.562 90.00 90.00 90.00
Space group Imma (No. 74)
Symmetry-distinct sites (fractional):
Dy  0.000  0.250  0.120 x4
Mn  0.250  0.250  0.750 x4
Al  0.000  0.000  0.500 x4

Starting from a crystal structure in the Materials Project, relaxed with PBE, the powder XRD pattern of NbP was simulated for Cu Kα (λ = 1.5418 Å).
Intensities are scaled so that the largest is 100.

Top 12 peaks for 2θ = 15–90°, in order of rising 2θ:
| (hkl) | 2theta | I/Imax |
| --- | --- | --- |
| 0 0 1 | 25.0 | 23 |
| 1 1 0 | 30.9 | 27 |
| 0 2 0 | 36.0 | 34 |
| 1 1 1 | 40.2 | 100 |
| 0 2 1 | 44.4 | 10 |
| 2 0 0 | 51.4 | 24 |
| 1 1 2 | 61.2 | 8 |
| 2 2 0 | 64.3 | 24 |
| 1 3 1 | 67.5 | 20 |
| 2 0 2 | 75.6 | 7 |
| 2 2 2 | 86.7 | 11 |
| 3 1 1 | 89.3 | 20 |

Structure:
Lattice parameters (Å, degrees): 3.558 4.988 3.555 90.00 90.00 90.00
Space group Cmmm (No. 65)
Symmetry-distinct sites (fractional):
Nb  0.000  0.000  0.000 x2
P  0.000  0.500  0.500 x2